# 1
Structure and computed X-ray diffraction stick pattern of La3Cd4In4 (a DFT-relaxed cell (GGA-PBE, Alexandria); Cu Kα X-rays).
Intensities are scaled so that the largest is 100.

```
data_La3Cd4In4
_symmetry_space_group_name_H-M 'C 1 2/m 1'
_symmetry_Int_Tables_number 12
_cell_length_a 30.8537
_cell_length_b 3.9642
_cell_length_c 4.9907
_cell_angle_alpha 90.00
_cell_angle_beta 98.95
_cell_angle_gamma 90.00
loop_
_symmetry_equiv_pos_as_xyz
'x,y,z'
'-x,-y,-z'
'-x,y,-z'
'x,-y,z'
'x+1/2,y+1/2,z'
'-x+1/2,-y+1/2,-z'
'-x+1/2,y+1/2,-z'
'x+1/2,-y+1/2,z'
loop_
_atom_site_label
_atom_site_fract_x
_atom_site_fract_y
_atom_site_fract_z
_atom_site_occupancy
La1 0.0000 0.0000 0.0000 1
La2 0.1431 0.0000 0.6392 1
Cd1 0.0934 0.5000 0.0909 1
Cd2 0.2405 0.5000 0.7358 1
In1 0.0481 0.5000 0.5473 1
In2 0.1864 0.5000 0.1806 1
```

Main lines, in order of falling intensity (2θ from 10° to 90°):
d/Å, 2θ (°), intensity
2.875, 31.1, 100
2.931, 30.5, 50
2.495, 36.0, 41
2.416, 37.2, 32
2.429, 37.0, 31
1.982, 45.8, 21
1.552, 59.6, 18
1.536, 60.3, 15
1.904, 47.8, 15
1.896, 48.0, 14

# 2
Structure and computed X-ray diffraction stick pattern of SmThBiN2 (a DFT-relaxed cell (GGA-PBE, Alexandria); Cu Kα X-rays).
Intensities are scaled so that the largest is 100.

```
data_SmThBiN2
_symmetry_space_group_name_H-M 'I 4 m m'
_symmetry_Int_Tables_number 107
_symmetry_space_group_name_Hall 'I 4 -2'
_cell_length_a 4.0670
_cell_length_b 4.0670
_cell_length_c 14.5818
_cell_angle_alpha 90.00
_cell_angle_beta 90.00
_cell_angle_gamma 90.00
loop_
_atom_site_label
_atom_site_fract_x
_atom_site_fract_y
_atom_site_fract_z
_atom_site_occupancy
Sm1 0.0000 0.0000 0.0000 1
Th1 0.0000 0.0000 0.3491 1
Bi1 0.0000 0.0000 0.6720 1
N1 0.0000 0.5000 0.4210 1
```

Main lines, in order of falling intensity (2θ from 10° to 90°):
d/Å, 2θ (°), intensity
3.119, 28.6, 100
2.876, 31.1, 37
1.703, 53.8, 36
1.856, 49.1, 26
2.033, 44.6, 17
1.560, 59.2, 12
2.430, 37.0, 11
1.137, 85.4, 11
1.505, 61.6, 11
1.210, 79.2, 11

# 3
Structure and computed X-ray diffraction stick pattern of PuMg2IrO8 (a DFT-relaxed cell (GGA-PBE, Alexandria); Cu Kα X-rays).
Intensities are scaled so that the largest is 100.

```
data_PuMg2IrO8
_symmetry_space_group_name_H-M 'P 1 2/m 1'
_symmetry_Int_Tables_number 10
_cell_length_a 4.7718
_cell_length_b 6.2614
_cell_length_c 4.7771
_cell_angle_alpha 90.00
_cell_angle_beta 92.89
_cell_angle_gamma 90.00
loop_
_symmetry_equiv_pos_as_xyz
'x,y,z'
'-x,-y,-z'
'-x,y,-z'
'x,-y,z'
loop_
_atom_site_label
_atom_site_fract_x
_atom_site_fract_y
_atom_site_fract_z
_atom_site_occupancy
Pu1 0.0000 0.0000 0.0000 1
Mg1 0.5000 0.2604 0.5000 1
Ir1 0.0000 0.5000 0.0000 1
O1 0.1955 0.2601 0.8062 1
O2 0.2857 0.5000 0.2872 1
O3 0.2941 0.0000 0.2957 1
```

Main lines, in order of falling intensity (2θ from 10° to 90°):
d/Å, 2θ (°), intensity
4.768, 18.6, 100
2.617, 34.3, 60
3.460, 25.7, 40
3.290, 27.1, 34
1.787, 51.1, 27
2.322, 38.8, 27
1.739, 52.6, 23
3.131, 28.5, 18
1.897, 48.0, 17
2.384, 37.7, 17

# 4
Structure and computed X-ray diffraction stick pattern of U6Tc2Ru (a DFT-relaxed cell (GGA-PBE, Alexandria); Cu Kα X-rays).
Intensities are scaled so that the largest is 100.

```
data_U6Tc2Ru
_symmetry_space_group_name_H-M 'C 1 m 1'
_symmetry_Int_Tables_number 8
_cell_length_a 14.1595
_cell_length_b 8.1637
_cell_length_c 2.7821
_cell_angle_alpha 90.00
_cell_angle_beta 90.02
_cell_angle_gamma 90.00
loop_
_symmetry_equiv_pos_as_xyz
'x,y,z'
'x,-y,z'
'x+1/2,y+1/2,z'
'x+1/2,-y+1/2,z'
loop_
_atom_site_label
_atom_site_fract_x
_atom_site_fract_y
_atom_site_fract_z
_atom_site_occupancy
U1 0.0000 0.1654 0.0000 1
U2 0.1661 0.3319 0.9998 1
U3 0.3316 0.1664 0.0002 1
Tc1 0.1660 0.0000 0.6554 1
Tc2 0.3326 0.5000 0.3559 1
Ru1 0.4990 0.0000 0.3763 1
```

Main lines, in order of falling intensity (2θ from 10° to 90°):
d/Å, 2θ (°), intensity
2.358, 38.2, 100
2.299, 39.2, 51
1.799, 50.7, 45
2.782, 32.2, 26
4.085, 21.8, 20
1.350, 69.7, 20
1.646, 55.8, 19
1.362, 69.0, 18
1.198, 80.1, 16
1.223, 78.2, 14